Structure and theoretical PXRD pattern of LiV3Zn2O8 (a cell relaxed with GGA+U; Cu Kα X-rays).
No peak broadening, texture or thermal motion is included.

Principal peaks in the range 15° ≤ 2θ ≤ 90°, in order of falling intensity:
| hkl | 2theta | d (Å) | Rel. int. |
| --- | --- | --- | --- |
| 2 -1 0 | 29.95 | 2.983 | 100 |
| 1 1 -3 | 35.19 | 2.550 | 83 |
| -1 1 3 | 35.29 | 2.543 | 82 |
| 2 0 -6 | 62.24 | 1.492 | 56 |
| 1 1 1 | 35.06 | 2.560 | 45 |
| 1 -1 1 | 18.24 | 4.863 | 23 |
| 3 0 -1 | 52.99 | 1.728 | 22 |
| 1 -3 5 | 56.67 | 1.624 | 22 |
| 3 -1 3 | 56.54 | 1.628 | 21 |
| -3 3 1 | 56.78 | 1.621 | 19 |

Crystal structure
```
data_LiV3Zn2O8
_chemical_formula_sum 'Li2 V6 Zn4 O16'
_space_group_name_H-M_alt 'P 1'
_space_group_IT_number 1
_cell_length_a 5.9650
_cell_length_b 5.9680
_cell_length_c 10.3366
_cell_angle_alpha 106.72
_cell_angle_beta 90.01
_cell_angle_gamma 119.60
loop_
_space_group_symop_operation_xyz
'x,y,z'
loop_
_atom_site_label
_atom_site_fract_x
_atom_site_fract_y
_atom_site_fract_z
_atom_site_occupancy
Li1 0.0000 0.0000 0.0000 1
Li2 0.4971 0.9975 0.5010 1
V1 0.0022 0.5048 0.0017 1
V2 0.2428 0.0016 0.2490 1
V3 0.4950 0.4960 0.4977 1
V4 0.4965 0.0015 0.9997 1
V5 0.7491 0.9967 0.7528 1
V6 0.9974 0.9946 0.4970 1
Zn1 0.0666 0.6128 0.6885 1
Zn2 0.4263 0.3738 0.8076 1
Zn3 0.5620 0.6145 0.1875 1
Zn4 0.9250 0.3788 0.3075 1
O1 0.0871 0.2452 0.8730 1
O2 0.1178 0.7849 0.3833 1
O3 0.1286 0.7364 0.8908 1
O4 0.1304 0.2522 0.3883 1
O5 0.3527 0.2458 0.6057 1
O6 0.3527 0.7465 0.1199 1
O7 0.3658 0.2135 0.1227 1
O8 0.4065 0.7423 0.6208 1
O9 0.5930 0.2598 0.3828 1
O10 0.6298 0.7813 0.8659 1
O11 0.6382 0.7502 0.3922 1
O12 0.6467 0.2480 0.8730 1
O13 0.8591 0.7532 0.6191 1
O14 0.8664 0.2562 0.1053 1
O15 0.8682 0.2026 0.6239 1
O16 0.9019 0.7470 0.1226 1
```